No. 1
BaSnP2O8: theoretical powder XRD pattern (copper Kα), based on a structure optimized by DFT (GGA-PBE).

```
data_BaSnP2O8
_cell_length_a 8.3613
_cell_length_b 5.3038
_cell_length_c 8.0324
_cell_angle_alpha 90.00
_cell_angle_beta 94.27
_cell_angle_gamma 90.00
_space_group_name_H-M_alt 'C 1 2/m 1'
_space_group_IT_number 12
loop_
_space_group_symop_operation_xyz
'x,y,z'
'-x,-y,-z'
'-x,y,-z'
'x,-y,z'
'x+1/2,y+1/2,z'
'-x+1/2,-y+1/2,-z'
'-x+1/2,y+1/2,-z'
'x+1/2,-y+1/2,z'
loop_
_atom_site_label
_atom_site_type_symbol
_atom_site_fract_x
_atom_site_fract_y
_atom_site_fract_z
_atom_site_occupancy
Ba1 Ba 0.0000 0.0000 0.0000 1
Sn1 Sn 0.0000 0.0000 0.5000 1
P1 P 0.1315 0.5000 0.2916 1
O1 O 0.0236 0.2599 0.3093 1
O2 O 0.1889 0.5000 0.1158 1
O3 O 0.2401 0.0000 0.5609 1
```

Largest 10 diffraction maxima, sorted by position, 5 to 70 degrees two-theta:
| index | 2theta | Rel. int. |
| --- | --- | --- |
| 1 1 0 | 19.84 | 100 |
| 2 0 0 | 21.31 | 75 |
| 0 0 2 | 22.20 | 31 |
| 1 1 -2 | 29.33 | 100 |
| 1 1 2 | 30.54 | 73 |
| 0 2 0 | 33.80 | 36 |
| 3 1 0 | 36.50 | 61 |
| 0 2 2 | 40.81 | 32 |
| 2 2 -2 | 45.65 | 25 |
| 1 3 -2 | 57.71 | 24 |

***

No. 2
Ba2TeP2O9: theoretical powder XRD pattern (copper Kα), based on a structure optimized by DFT (GGA-PBE).

```
data_Ba2TeP2O9
_cell_length_a 7.0644
_cell_length_b 7.5154
_cell_length_c 9.0396
_cell_angle_alpha 76.84
_cell_angle_beta 80.02
_cell_angle_gamma 75.48
_space_group_name_H-M_alt 'P -1'
_space_group_IT_number 2
loop_
_space_group_symop_operation_xyz
'x,y,z'
'-x,-y,-z'
loop_
_atom_site_label
_atom_site_type_symbol
_atom_site_fract_x
_atom_site_fract_y
_atom_site_fract_z
_atom_site_occupancy
Ba1 Ba 0.1030 0.3833 0.2430 1
Ba2 Ba 0.3694 0.8050 0.4173 1
Te1 Te 0.3559 0.8868 0.9544 1
P1 P 0.1346 0.1205 0.6485 1
P2 P 0.3764 0.5214 0.8165 1
O1 O 0.0386 0.7088 0.3474 1
O2 O 0.0652 0.9362 0.6761 1
O3 O 0.1986 0.5303 0.9387 1
O4 O 0.2710 0.1101 0.7793 1
O5 O 0.2770 0.1476 0.4972 1
O6 O 0.3293 0.5227 0.6566 1
O7 O 0.3789 0.0713 0.1023 1
O8 O 0.4494 0.6510 0.1445 1
O9 O 0.4682 0.7013 0.8019 1
```

Largest 10 diffraction maxima, sorted by position, 5 to 70 degrees two-theta:
| index | 2theta | Rel. int. |
| --- | --- | --- |
| 1 -1 0 | 19.94 | 42 |
| 1 1 2 | 22.48 | 41 |
| 0 2 1 | 25.06 | 60 |
| 1 0 -2 | 25.56 | 88 |
| 0 1 -2 | 25.89 | 100 |
| 2 1 0 | 26.48 | 76 |
| 2 0 2 | 31.33 | 38 |
| -2 1 1 | 33.52 | 33 |
| 2 2 -2 | 42.66 | 41 |
| 1 1 -4 | 48.46 | 28 |

***

No. 3
BaThP2O8: theoretical powder XRD pattern (copper Kα), based on a structure optimized by DFT (GGA-PBE).

```
data_BaThP2O8
_cell_length_a 12.9929
_cell_length_b 5.4808
_cell_length_c 9.6200
_cell_angle_alpha 90.00
_cell_angle_beta 101.79
_cell_angle_gamma 90.00
_space_group_name_H-M_alt 'C 1 2/c 1'
_space_group_IT_number 15
loop_
_space_group_symop_operation_xyz
'x,y,z'
'-x,-y,-z'
'-x,y,-z+1/2'
'x,-y,z+1/2'
'x+1/2,y+1/2,z'
'-x+1/2,-y+1/2,-z'
'-x+1/2,y+1/2,-z+1/2'
'x+1/2,-y+1/2,z+1/2'
loop_
_atom_site_label
_atom_site_type_symbol
_atom_site_fract_x
_atom_site_fract_y
_atom_site_fract_z
_atom_site_occupancy
Ba1 Ba 0.2500 0.2500 0.0000 1
Th1 Th 0.0000 0.1762 0.2500 1
P1 P 0.0916 0.2648 0.6098 1
O1 O 0.0261 0.1894 0.9106 1
O2 O 0.1105 0.4815 0.1812 1
O3 O 0.1270 0.2750 0.4649 1
O4 O 0.1529 0.0589 0.7048 1
```

Largest 10 diffraction maxima, sorted by position, 5 to 70 degrees two-theta:
| index | 2theta | Rel. int. |
| --- | --- | --- |
| 2 0 0 | 13.93 | 32 |
| 1 1 1 | 20.67 | 65 |
| 2 0 -2 | 21.06 | 37 |
| 2 0 2 | 25.74 | 61 |
| 3 1 -1 | 26.74 | 100 |
| 1 1 -3 | 32.37 | 63 |
| 0 2 0 | 32.68 | 21 |
| 5 1 1 | 42.02 | 42 |
| 3 1 3 | 42.51 | 26 |
| 5 1 -3 | 44.22 | 28 |